# RbP2PdCl
Simulated powder XRD pattern, Cu Kα (weighted mean of Kα1 and Kα2). Input: the GGA-PBE geometry in Alexandria.
Neutral-atom scattering factors, no anomalous dispersion.

The 10 most intense peaks (10 to 90 degrees two-theta), low angle first:
- 2θ = 22.16°, rel. 95
- 2θ = 22.60°, rel. 100
- 2θ = 27.94°, rel. 34
- 2θ = 35.95°, rel. 35
- 2θ = 39.15°, rel. 24
- 2θ = 39.93°, rel. 38
- 2θ = 46.14°, rel. 49
- 2θ = 46.36°, rel. 30
- 2θ = 61.88°, rel. 20
- 2θ = 62.63°, rel. 19

Structure:
```
5
Lattice="4.5157 0.0000 0.0000 0.0000 4.5157 0.0000 0.0000 0.0000 8.0221" Properties=species:S:1:pos:R:3 pbc="T T T"
Rb 0.0000 0.0000 0.0000
P 0.0000 2.2579 4.0111
P 2.2579 0.0000 4.0111
Pd 2.2579 2.2579 4.0111
Cl 2.2579 2.2579 0.0000
```



# Pm4P2Cl
Simulated powder XRD pattern, Cu Kα (weighted mean of Kα1 and Kα2). Input: the GGA-PBE geometry in Alexandria.
Neutral-atom scattering factors, no anomalous dispersion.

The 10 most intense peaks (10 to 90 degrees two-theta), low angle first:
- 2θ = 26.77°, rel. 100
- 2θ = 30.97°, rel. 68
- 2θ = 31.08°, rel. 34
- 2θ = 44.45°, rel. 62
- 2θ = 52.52°, rel. 15
- 2θ = 52.65°, rel. 23
- 2θ = 55.08°, rel. 12
- 2θ = 55.22°, rel. 13
- 2θ = 71.30°, rel. 15
- 2θ = 73.39°, rel. 16

Structure:
```
14
Lattice="-4.0765 4.0910 5.7555 4.0765 -4.0910 5.7555 4.0765 4.0910 -5.7555" Properties=species:S:1:pos:R:3 pbc="T T T"
Pm 1.9830 2.0455 0.0646
Pm 2.0936 -2.0455 5.8201
Pm 0.0000 0.1331 2.8215
Pm 4.0765 0.1331 2.9340
Pm 0.0000 3.9579 2.8215
Pm 4.0765 3.9579 2.9340
Pm 1.9830 6.1365 -0.0646
Pm 2.0936 2.0455 5.6908
P 0.0000 0.0000 0.0000
P -2.0383 2.0455 2.8777
P 0.0000 4.0910 0.0000
P 2.0383 2.0455 2.8777
Cl 2.0383 2.0455 -2.8777
Cl 2.0383 -2.0455 2.8777
```



# Pr4P2Cl
Simulated powder XRD pattern, Cu Kα (weighted mean of Kα1 and Kα2). Input: the GGA-PBE geometry in Alexandria.
Neutral-atom scattering factors, no anomalous dispersion.

The 10 most intense peaks (10 to 90 degrees two-theta), low angle first:
- 2θ = 26.19°, rel. 47
- 2θ = 26.38°, rel. 48
- 2θ = 30.44°, rel. 100
- 2θ = 43.61°, rel. 48
- 2θ = 43.79°, rel. 12
- 2θ = 51.43°, rel. 14
- 2θ = 51.74°, rel. 23
- 2θ = 53.89°, rel. 12
- 2θ = 54.30°, rel. 13
- 2θ = 80.32°, rel. 12

Structure:
```
7
Lattice="7.1991 0.0000 0.0000 0.0000 4.1342 0.0000 -2.3537 0.0000 6.8055" Properties=species:S:1:pos:R:3 pbc="T T T"
Pr 1.0863 0.0000 1.6385
Pr -0.0611 2.0671 5.0877
Pr 4.9065 2.0671 1.7178
Pr 3.7591 0.0000 5.1670
P -1.1768 0.0000 3.4027
P 0.0000 2.0671 0.0000
Cl 2.4227 2.0671 3.4027
```



# Pr8SiP3Cl4
Simulated powder XRD pattern, Cu Kα (weighted mean of Kα1 and Kα2). Input: the GGA-PBE geometry in Alexandria.
Neutral-atom scattering factors, no anomalous dispersion.

The 10 most intense peaks (10 to 90 degrees two-theta), low angle first:
- 2θ = 25.24°, rel. 16
- 2θ = 25.95°, rel. 55
- 2θ = 29.85°, rel. 100
- 2θ = 42.26°, rel. 31
- 2θ = 43.16°, rel. 38
- 2θ = 50.66°, rel. 15
- 2θ = 53.36°, rel. 19
- 2θ = 62.00°, rel. 10
- 2θ = 70.96°, rel. 16
- 2θ = 78.53°, rel. 10

Structure:
```
16
Lattice="4.1918 2.4201 7.0571 -4.1918 2.4201 7.0571 0.0000 -4.8402 7.0571" Properties=species:S:1:pos:R:3 pbc="T T T"
Pr -2.1152 -1.2212 12.1190
Pr 0.0000 0.0000 5.0358
Pr 0.0000 -2.4424 9.0524
Pr -2.1152 1.2212 9.0524
Pr 2.1152 -1.2212 12.1190
Pr 0.0000 2.4424 12.1190
Pr 0.0000 0.0000 16.1356
Pr 2.1152 1.2212 9.0523
Si 0.0000 0.0000 10.5857
P -4.1917 0.0000 10.5857
P -2.0959 1.2101 3.5286
P 2.0959 1.2101 3.5286
Cl 0.0000 0.0000 0.0000
Cl -2.0959 -1.2101 7.0571
Cl -2.0959 1.2101 14.1142
Cl 0.0000 2.4201 7.0571
```



# Pr6ZnP2Cl3
Simulated powder XRD pattern, Cu Kα (weighted mean of Kα1 and Kα2). Input: the GGA-PBE geometry in Alexandria.
Neutral-atom scattering factors, no anomalous dispersion.

The 10 most intense peaks (10 to 90 degrees two-theta), low angle first:
- 2θ = 25.19°, rel. 21
- 2θ = 25.68°, rel. 23
- 2θ = 26.17°, rel. 44
- 2θ = 29.79°, rel. 51
- 2θ = 29.93°, rel. 100
- 2θ = 41.89°, rel. 17
- 2θ = 42.43°, rel. 34
- 2θ = 43.04°, rel. 38
- 2θ = 43.77°, rel. 18
- 2θ = 53.85°, rel. 19

Structure:
```
12
Lattice="9.2951 -2.0681 0.0000 9.2951 2.0681 0.0000 -2.1662 0.0000 8.3516" Properties=species:S:1:pos:R:3 pbc="T T T"
Pr -0.4186 0.0000 2.0588
Pr 5.1139 0.0000 3.6611
Pr 4.3185 0.0000 7.5097
Pr 12.1055 0.0000 0.8419
Pr 11.3101 0.0000 4.6905
Pr 16.8426 0.0000 6.2928
Zn 9.2951 0.0000 0.0000
P 2.3960 0.0000 2.7709
P 14.0280 0.0000 5.5807
Cl 1.3155 0.0000 6.9316
Cl 8.2120 0.0000 4.1758
Cl 15.1085 0.0000 1.4200
```



# Pu2PCl
Simulated powder XRD pattern, Cu Kα (weighted mean of Kα1 and Kα2). Input: the GGA-PBE geometry in Alexandria.
Neutral-atom scattering factors, no anomalous dispersion.

The 10 most intense peaks (10 to 90 degrees two-theta), low angle first:
- 2θ = 27.08°, rel. 100
- 2θ = 27.28°, rel. 32
- 2θ = 31.34°, rel. 41
- 2θ = 31.47°, rel. 83
- 2θ = 44.88°, rel. 32
- 2θ = 44.98°, rel. 16
- 2θ = 45.17°, rel. 45
- 2θ = 53.26°, rel. 22
- 2θ = 53.42°, rel. 27
- 2θ = 55.84°, rel. 25

Structure:
```
16
Lattice="4.0095 -8.0607 0.0000 4.0095 8.0607 0.0000 -3.9643 0.0000 5.7086" Properties=species:S:1:pos:R:3 pbc="T T T"
Pu -1.0525 3.0230 4.3410
Pu 1.0104 1.0083 1.3630
Pu -0.9717 -1.0083 4.2172
Pu 0.9297 -3.0230 1.4867
Pu 3.1251 3.0230 4.2218
Pu 5.0265 1.0083 1.4913
Pu 3.0444 -1.0083 4.3456
Pu 5.1073 -3.0230 1.3675
P 3.0185 7.0807 1.4271
P 3.0185 2.9927 1.4271
P 1.0363 -2.9927 4.2814
P 1.0363 -7.0807 4.2814
Cl 1.0363 5.0407 4.2814
Cl 1.0363 1.0012 4.2814
Cl 3.0185 -1.0012 1.4271
Cl 3.0185 -5.0407 1.4271
```



# Pu3P2Cl
Simulated powder XRD pattern, Cu Kα (weighted mean of Kα1 and Kα2). Input: the GGA-PBE geometry in Alexandria.
Neutral-atom scattering factors, no anomalous dispersion.

The 10 most intense peaks (10 to 90 degrees two-theta), low angle first:
- 2θ = 26.22°, rel. 100
- 2θ = 27.32°, rel. 44
- 2θ = 31.32°, rel. 89
- 2θ = 34.04°, rel. 65
- 2θ = 45.61°, rel. 50
- 2θ = 52.06°, rel. 18
- 2θ = 53.36°, rel. 43
- 2θ = 56.34°, rel. 29
- 2θ = 73.19°, rel. 16
- 2θ = 75.31°, rel. 20

Structure:
```
12
Lattice="3.9778 0.0000 0.0000 -1.9889 3.4449 0.0000 0.0000 0.0000 20.4237" Properties=species:S:1:pos:R:3 pbc="T T T"
Pu 0.0000 0.0000 0.0000
Pu 0.0000 0.0000 10.2119
Pu 0.0000 2.2966 3.1758
Pu 0.0000 2.2966 7.0361
Pu 1.9889 1.1483 13.3877
Pu 1.9889 1.1483 17.2480
P 0.0000 2.2966 11.8675
P 0.0000 2.2966 18.7681
P 1.9889 1.1483 1.6556
P 1.9889 1.1483 8.5563
Cl 0.0000 0.0000 5.1059
Cl 0.0000 0.0000 15.3178
```



# Pu2PCl2
Simulated powder XRD pattern, Cu Kα (weighted mean of Kα1 and Kα2). Input: the GGA-PBE geometry in Alexandria.
Neutral-atom scattering factors, no anomalous dispersion.

The 10 most intense peaks (10 to 90 degrees two-theta), low angle first:
- 2θ = 18.02°, rel. 21
- 2θ = 25.53°, rel. 53
- 2θ = 27.17°, rel. 20
- 2θ = 28.12°, rel. 53
- 2θ = 29.58°, rel. 100
- 2θ = 35.26°, rel. 45
- 2θ = 39.87°, rel. 22
- 2θ = 44.67°, rel. 40
- 2θ = 47.66°, rel. 31
- 2θ = 53.07°, rel. 22

Structure:
```
5
Lattice="2.0286 1.1712 9.8464 -2.0286 1.1712 9.8464 0.0000 -2.3424 9.8464" Properties=species:S:1:pos:R:3 pbc="T T T"
Pu 0.0000 0.0000 3.3255
Pu 0.0000 0.0000 26.2137
P 0.0000 0.0000 14.7696
Cl 0.0000 0.0000 8.1125
Cl 0.0000 0.0000 21.4267
```